Ac8PdPt6: computed powder diffraction line list (Cu Kα (λ = 1.5418 Å)), based on DFT lattice parameters and positions (PBE).
Kinematic intensities with the Lorentz-polarization factor, no thermal factor.

Cell and atoms:
Cell lengths 10.387, 10.387, 4.803 Å; angles 90.00, 90.00, 120.00 degrees
Positions (direct):
Ac: 0.057 0.309 0.250
Ac: 0.252 0.943 0.250
Ac: 0.309 0.252 0.750
Ac: 0.333 0.667 0.750
Ac: 0.667 0.333 0.250
Ac: 0.691 0.748 0.250
Ac: 0.748 0.057 0.750
Ac: 0.943 0.691 0.750
Pd: 0.000 0.000 0.500
Pt: 0.068 0.607 0.252
Pt: 0.393 0.461 0.252
Pt: 0.461 0.068 0.748
Pt: 0.539 0.932 0.252
Pt: 0.607 0.539 0.748
Pt: 0.932 0.393 0.748

Top 6 peaks for 2θ = 10–90°, by intensity:
| h k l | 2theta | I (rel.) |
| --- | --- | --- |
| 1 2 1 | 32.26 | 100 |
| 2 0 1 | 27.16 | 59 |
| 4 -3 1 | 40.75 | 33 |
| 1 3 0 | 36.00 | 33 |
| 0 0 2 | 37.45 | 30 |
| 3 0 0 | 29.80 | 28 |